[1]
This entry pairs a crystal structure of Cs2UO4 with its calculated X-ray powder pattern. Radiation: Cu Kα, 1.54184 Å. Structure: DFT lattice parameters and positions (PBE).
Peak positions follow from Bragg's law for the DFT cell and can differ from measured ones.

Crystal structure
```
data_Cs2UO4
_cell_length_a 4.4260
_cell_length_b 4.4260
_cell_length_c 15.3376
_cell_angle_alpha 90.00
_cell_angle_beta 90.00
_cell_angle_gamma 90.00
_space_group_name_H-M_alt 'I 4/m m m'
_space_group_IT_number 139
_space_group_name_Hall '-I 4 2'
loop_
_atom_site_label
_atom_site_type_symbol
_atom_site_fract_x
_atom_site_fract_y
_atom_site_fract_z
_atom_site_occupancy
Cs1 Cs 0.0000 0.0000 0.1541 1
U1 U 0.0000 0.0000 0.5000 1
O1 O 0.0000 0.0000 0.3730 1
O2 O 0.0000 0.5000 0.0000 1
```

Largest 10 diffraction maxima, low angle first, 2θ from 15° to 90°:
d [Å], 2theta, intensity
3.346, 26.6, 100
3.130, 28.5, 49
2.556, 35.1, 14
2.213, 40.8, 24
1.980, 45.8, 21
1.846, 49.4, 38
1.673, 54.9, 16
1.590, 58.0, 11
1.291, 73.3, 11
1.194, 80.5, 10

[2]
This entry pairs a crystal structure of CsUO3 with its calculated X-ray powder pattern. Radiation: Cu Kα, 1.54184 Å. Structure: DFT lattice parameters and positions (PBE).
Peak positions follow from Bragg's law for the DFT cell and can differ from measured ones.

Crystal structure
```
data_CsUO3
_cell_length_a 4.4154
_cell_length_b 4.4154
_cell_length_c 4.4154
_cell_angle_alpha 90.00
_cell_angle_beta 90.00
_cell_angle_gamma 90.00
_space_group_name_H-M_alt 'P m -3 m'
_space_group_IT_number 221
_space_group_name_Hall '-P 4 2 3'
loop_
_atom_site_label
_atom_site_type_symbol
_atom_site_fract_x
_atom_site_fract_y
_atom_site_fract_z
_atom_site_occupancy
Cs1 Cs 0.0000 0.0000 0.0000 1
U1 U 0.5000 0.5000 0.5000 1
O1 O 0.0000 0.5000 0.5000 1
```

Largest 10 diffraction maxima, low angle first, 2θ from 15° to 90°:
d [Å], 2theta, intensity
4.415, 20.1, 13
3.122, 28.6, 100
2.208, 40.9, 27
1.975, 46.0, 6
1.803, 50.6, 43
1.561, 59.2, 18
1.472, 63.2, 3
1.396, 67.0, 19
1.275, 74.4, 6
1.180, 81.6, 23

[3]
This entry pairs a crystal structure of CsY3O5 with its calculated X-ray powder pattern. Radiation: Cu Kα, 1.54184 Å. Structure: DFT lattice parameters and positions (PBE).
Peak positions follow from Bragg's law for the DFT cell and can differ from measured ones.

Crystal structure
```
data_CsY3O5
_cell_length_a 10.5618
_cell_length_b 3.5205
_cell_length_c 17.5648
_cell_angle_alpha 90.00
_cell_angle_beta 90.00
_cell_angle_gamma 90.00
_space_group_name_H-M_alt 'P n m a'
_space_group_IT_number 62
loop_
_space_group_symop_operation_xyz
'x,y,z'
'-x,-y,-z'
'-x+1/2,-y,z+1/2'
'x+1/2,y,-z+1/2'
'x+1/2,-y+1/2,-z+1/2'
'-x+1/2,y+1/2,z+1/2'
'-x,y+1/2,-z'
'x,-y+1/2,z'
loop_
_atom_site_label
_atom_site_type_symbol
_atom_site_fract_x
_atom_site_fract_y
_atom_site_fract_z
_atom_site_occupancy
Cs1 Cs 0.0291 0.2500 0.1251 1
Y1 Y 0.1061 0.2500 0.6612 1
Y2 Y 0.1506 0.7500 0.4869 1
Y3 Y 0.1855 0.2500 0.3150 1
O1 O 0.0213 0.2500 0.4198 1
O2 O 0.0688 0.7500 0.2708 1
O3 O 0.1909 0.7500 0.7142 1
O4 O 0.2218 0.2500 0.5509 1
O5 O 0.2302 0.2500 0.8847 1
```

Largest 10 diffraction maxima, low angle first, 2θ from 15° to 90°:
d [Å], 2theta, intensity
3.452, 25.8, 100
3.376, 26.4, 42
3.333, 26.7, 70
3.268, 27.3, 40
3.122, 28.6, 77
2.928, 30.5, 42
2.901, 30.8, 61
2.779, 32.2, 42
2.620, 34.2, 56
2.437, 36.9, 66

[4]
This entry pairs a crystal structure of Cs2ZnO2 with its calculated X-ray powder pattern. Radiation: Cu Kα, 1.54184 Å. Structure: DFT lattice parameters and positions (PBE).
Peak positions follow from Bragg's law for the DFT cell and can differ from measured ones.

Crystal structure
```
data_Cs2ZnO2
_cell_length_a 10.0309
_cell_length_b 6.7271
_cell_length_c 16.6239
_cell_angle_alpha 90.00
_cell_angle_beta 117.19
_cell_angle_gamma 90.00
_space_group_name_H-M_alt 'P 1 21/c 1'
_space_group_IT_number 14
loop_
_space_group_symop_operation_xyz
'x,y,z'
'-x,-y,-z'
'-x,y+1/2,-z+1/2'
'x,-y+1/2,z+1/2'
loop_
_atom_site_label
_atom_site_type_symbol
_atom_site_fract_x
_atom_site_fract_y
_atom_site_fract_z
_atom_site_occupancy
Cs1 Cs 0.0715 0.0770 0.1209 1
Cs2 Cs 0.1763 0.5896 0.2582 1
Cs3 Cs 0.3535 0.6749 0.5235 1
Cs4 Cs 0.4255 0.1377 0.6614 1
Zn1 Zn 0.0854 0.0554 0.4598 1
Zn2 Zn 0.2550 0.1347 0.3723 1
O1 O 0.1187 0.5864 0.8601 1
O2 O 0.1301 0.6196 0.0689 1
O3 O 0.2292 0.2223 0.9685 1
O4 O 0.3588 0.1944 0.3062 1
```

Largest 10 diffraction maxima, low angle first, 2θ from 15° to 90°:
d [Å], 2theta, intensity
3.533, 25.2, 57
3.337, 26.7, 86
3.217, 27.7, 100
3.185, 28.0, 69
3.147, 28.4, 25
2.918, 30.6, 52
2.906, 30.8, 66
2.781, 32.2, 51
2.125, 42.5, 23
1.789, 51.0, 24

[5]
This entry pairs a crystal structure of Cs4ZnO3 with its calculated X-ray powder pattern. Radiation: Cu Kα, 1.54184 Å. Structure: DFT lattice parameters and positions (PBE).
Peak positions follow from Bragg's law for the DFT cell and can differ from measured ones.

Crystal structure
```
data_Cs4ZnO3
_cell_length_a 7.2766
_cell_length_b 19.2146
_cell_length_c 7.1525
_cell_angle_alpha 90.00
_cell_angle_beta 116.17
_cell_angle_gamma 90.00
_space_group_name_H-M_alt 'P 1 21/c 1'
_space_group_IT_number 14
loop_
_space_group_symop_operation_xyz
'x,y,z'
'-x,-y,-z'
'-x,y+1/2,-z+1/2'
'x,-y+1/2,z+1/2'
loop_
_atom_site_label
_atom_site_type_symbol
_atom_site_fract_x
_atom_site_fract_y
_atom_site_fract_z
_atom_site_occupancy
Cs1 Cs 0.1497 0.0759 0.1502 1
Cs2 Cs 0.2167 0.6934 0.1746 1
Cs3 Cs 0.2901 0.5006 0.2088 1
Cs4 Cs 0.3333 0.1936 0.7829 1
Zn1 Zn 0.2864 0.6170 0.7878 1
O1 O 0.0395 0.5926 0.8110 1
O2 O 0.3097 0.5980 0.5333 1
O3 O 0.4942 0.1653 0.4845 1
```

Largest 10 diffraction maxima, low angle first, 2θ from 15° to 90°:
d [Å], 2theta, intensity
3.568, 25.0, 25
3.544, 25.1, 23
3.265, 27.3, 30
3.255, 27.4, 100
3.210, 27.8, 32
3.062, 29.2, 38
2.909, 30.7, 16
2.871, 31.2, 21
2.707, 33.1, 47
2.298, 39.2, 12

[6]
This entry pairs a crystal structure of Cs2P3 with its calculated X-ray powder pattern. Radiation: Cu Kα, 1.54184 Å. Structure: DFT lattice parameters and positions (PBE).
Peak positions follow from Bragg's law for the DFT cell and can differ from measured ones.

Crystal structure
```
data_Cs2P3
_cell_length_a 9.5747
_cell_length_b 10.1622
_cell_length_c 15.3356
_cell_angle_alpha 90.00
_cell_angle_beta 90.00
_cell_angle_gamma 90.00
_space_group_name_H-M_alt 'F m m m'
_space_group_IT_number 69
_space_group_name_Hall '-F 2 2'
loop_
_atom_site_label
_atom_site_type_symbol
_atom_site_fract_x
_atom_site_fract_y
_atom_site_fract_z
_atom_site_occupancy
Cs1 Cs 0.0000 0.2182 0.0000 1
Cs2 Cs 0.2500 0.2500 0.2500 1
P1 P 0.0000 0.0000 0.3579 1
P2 P 0.1958 0.0000 0.4293 1
```

Largest 10 diffraction maxima, low angle first, 2θ from 15° to 90°:
d [Å], 2theta, intensity
5.081, 17.5, 21
4.061, 21.9, 55
3.834, 23.2, 23
3.172, 28.1, 100
3.126, 28.6, 15
3.060, 29.2, 47
2.541, 35.3, 16
2.255, 40.0, 24
1.885, 48.3, 21
1.686, 54.4, 15

[7]
This entry pairs a crystal structure of Cs3P7 with its calculated X-ray powder pattern. Radiation: Cu Kα, 1.54184 Å. Structure: DFT lattice parameters and positions (PBE).
Peak positions follow from Bragg's law for the DFT cell and can differ from measured ones.

Crystal structure
```
data_Cs3P7
_cell_length_a 9.2515
_cell_length_b 9.2515
_cell_length_c 16.9410
_cell_angle_alpha 90.00
_cell_angle_beta 90.00
_cell_angle_gamma 90.00
_space_group_name_H-M_alt 'P 41'
_space_group_IT_number 76
loop_
_space_group_symop_operation_xyz
'x,y,z'
'-y,x,z+1/4'
'-x,-y,z+1/2'
'y,-x,z+3/4'
loop_
_atom_site_label
_atom_site_type_symbol
_atom_site_fract_x
_atom_site_fract_y
_atom_site_fract_z
_atom_site_occupancy
Cs1 Cs 0.0240 0.8380 0.0000 1
Cs2 Cs 0.2540 0.6191 0.5055 1
Cs3 Cs 0.2644 0.4177 0.0929 1
P1 P 0.0015 0.6554 0.2098 1
P2 P 0.0077 0.2903 0.8427 1
P3 P 0.0236 0.6417 0.8139 1
P4 P 0.0937 0.5552 0.6998 1
P5 P 0.1056 0.4767 0.8956 1
P6 P 0.2035 0.6263 0.2864 1
P7 P 0.2101 0.4013 0.3151 1
```

Largest 10 diffraction maxima, low angle first, 2θ from 15° to 90°:
d [Å], 2theta, intensity
4.462, 19.9, 63
4.275, 20.8, 50
4.019, 22.1, 100
3.718, 23.9, 77
3.578, 24.9, 53
3.182, 28.0, 32
3.034, 29.4, 50
3.009, 29.7, 54
2.960, 30.2, 39
2.408, 37.3, 44

[8]
This entry pairs a crystal structure of CsPPbS4 with its calculated X-ray powder pattern. Radiation: Cu Kα, 1.54184 Å. Structure: DFT lattice parameters and positions (PBE).
Peak positions follow from Bragg's law for the DFT cell and can differ from measured ones.

Crystal structure
```
data_CsPPbS4
_cell_length_a 18.4120
_cell_length_b 6.8929
_cell_length_c 6.5097
_cell_angle_alpha 90.00
_cell_angle_beta 90.00
_cell_angle_gamma 90.00
_space_group_name_H-M_alt 'P n m a'
_space_group_IT_number 62
loop_
_space_group_symop_operation_xyz
'x,y,z'
'-x,-y,-z'
'-x+1/2,-y,z+1/2'
'x+1/2,y,-z+1/2'
'x+1/2,-y+1/2,-z+1/2'
'-x+1/2,y+1/2,z+1/2'
'-x,y+1/2,-z'
'x,-y+1/2,z'
loop_
_atom_site_label
_atom_site_type_symbol
_atom_site_fract_x
_atom_site_fract_y
_atom_site_fract_z
_atom_site_occupancy
Cs1 Cs 0.2045 0.2500 0.0628 1
P1 P 0.0928 0.7500 0.7830 1
Pb1 Pb 0.0157 0.7500 0.2886 1
S1 S 0.0169 0.2500 0.1509 1
S2 S 0.1151 0.5091 0.6076 1
S3 S 0.1528 0.7500 0.0474 1
```

Largest 10 diffraction maxima, low angle first, 2θ from 15° to 90°:
d [Å], 2theta, intensity
4.591, 19.3, 49
4.209, 21.1, 100
3.828, 23.2, 38
3.446, 25.9, 57
3.300, 27.0, 35
3.069, 29.1, 63
2.906, 30.8, 32
2.759, 32.5, 40
2.728, 32.8, 30
2.292, 39.3, 63